Entry 1:
For Dy4Au, a crystal structure in Alexandria, relaxed with GGA-PBE gives the theoretical powder diffraction line list in this record (Cu Kα (weighted mean of Kα1 and Kα2)).
Neutral-atom scattering factors, no anomalous dispersion.

Structure:
```
Dy4Au
1.0
5.551 0.000 0.000
0.000 5.551 0.000
0.000 0.000 5.551
Dy Au
4 1
direct
0.000 0.000 0.000
0.000 0.500 0.500
0.500 0.000 0.500
0.500 0.500 0.000
0.500 0.500 0.500
```

The 12 most intense peaks (10 to 90 degrees two-theta), low angle first:
2θ (°), d [Å], intensity
15.96, 5.551, 29.4
22.65, 3.925, 26.6
27.84, 3.205, 54.5
32.25, 2.776, 100.0
36.18, 2.483, 16.5
39.77, 2.266, 12.8
46.26, 1.963, 74.1
54.85, 1.674, 24.7
57.51, 1.603, 26.0
67.49, 1.388, 12.1
76.78, 1.241, 33.6
85.74, 1.133, 26.0

Entry 2:
For Ce2NdP2Rh7, a crystal structure in Alexandria, relaxed with GGA-PBE gives the theoretical powder diffraction line list in this record (Cu Kα (weighted mean of Kα1 and Kα2)).
Neutral-atom scattering factors, no anomalous dispersion.

Structure:
```
Ce2NdP2Rh7
1.0
2.036 -12.923 0.000
2.036 12.923 0.000
0.000 0.000 4.043
Ce Nd P Rh
2 1 2 7
direct
0.178 0.822 0.000
0.822 0.178 0.000
0.000 0.000 0.000
0.370 0.630 0.500
0.630 0.370 0.500
0.086 0.914 0.500
0.282 0.718 0.500
0.414 0.586 0.000
0.500 0.500 0.500
0.586 0.414 0.000
0.718 0.282 0.500
0.914 0.086 0.500
```

The 12 most intense peaks (10 to 90 degrees two-theta), low angle first:
2θ (°), d [Å], intensity
30.32, 2.948, 10.2
34.71, 2.585, 11.6
35.80, 2.509, 100.0
38.35, 2.347, 7.5
39.79, 2.266, 14.5
41.94, 2.154, 6.6
44.51, 2.036, 28.4
44.84, 2.022, 20.1
65.02, 1.434, 18.1
70.04, 1.343, 11.4
76.26, 1.249, 10.9
76.74, 1.242, 10.5

Entry 3:
For SmHo2Th3Se6, a crystal structure in Alexandria, relaxed with GGA-PBE gives the theoretical powder diffraction line list in this record (Cu Kα (weighted mean of Kα1 and Kα2)).
Neutral-atom scattering factors, no anomalous dispersion.

Structure:
```
SmHo2Th3Se6
1.0
3.501 -6.024 0.000
3.501 6.024 0.000
-2.306 0.000 7.185
Sm Ho Th Se
1 2 3 6
direct
0.000 0.000 0.000
0.332 0.668 0.000
0.668 0.332 0.000
0.163 0.837 0.500
0.500 0.500 0.500
0.837 0.163 0.500
0.079 0.419 0.236
0.263 0.263 0.768
0.419 0.079 0.236
0.581 0.921 0.764
0.737 0.737 0.232
0.921 0.581 0.764
```

The 12 most intense peaks (10 to 90 degrees two-theta), low angle first:
2θ (°), d [Å], intensity
24.78, 3.593, 9.5
26.91, 3.313, 15.2
30.52, 2.929, 100.0
42.25, 2.139, 13.6
42.45, 2.129, 26.9
44.92, 2.018, 23.2
45.15, 2.008, 11.4
50.83, 1.796, 7.8
55.47, 1.656, 12.4
63.53, 1.464, 12.2
70.29, 1.339, 11.9
73.88, 1.283, 10.6

Entry 4:
For Ac6Nd3Ho, a crystal structure in Alexandria, relaxed with GGA-PBE gives the theoretical powder diffraction line list in this record (Cu Kα (weighted mean of Kα1 and Kα2)).
Neutral-atom scattering factors, no anomalous dispersion.

Structure:
```
Ac6Nd3Ho
1.0
6.077 -3.727 0.000
6.077 3.727 0.000
-2.462 0.000 9.137
Ac Nd Ho
6 3 1
direct
0.086 0.576 0.202
0.129 0.129 0.408
0.424 0.914 0.798
0.576 0.086 0.202
0.871 0.871 0.592
0.914 0.424 0.798
0.415 0.415 0.839
0.500 0.500 0.500
0.585 0.585 0.161
0.000 0.000 0.000
```

The 12 most intense peaks (10 to 90 degrees two-theta), low angle first:
2θ (°), d [Å], intensity
25.66, 3.472, 34.7
27.69, 3.221, 40.3
28.37, 3.146, 40.1
28.69, 3.111, 100.0
29.32, 3.046, 50.3
29.45, 3.033, 28.9
30.78, 2.905, 33.8
30.96, 2.888, 47.7
31.33, 2.855, 33.9
31.67, 2.825, 29.4
51.97, 1.759, 25.4
52.70, 1.737, 26.9

Entry 5:
For KPrH6Au2, a crystal structure in Alexandria, relaxed with GGA-PBE gives the theoretical powder diffraction line list in this record (Cu Kα (weighted mean of Kα1 and Kα2)).
Neutral-atom scattering factors, no anomalous dispersion.

Structure:
```
KPrH6Au2
1.0
4.311 -5.162 0.000
4.311 5.162 0.000
-2.354 0.000 6.610
K Pr H Au
2 2 12 4
direct
0.169 0.831 0.750
0.831 0.169 0.250
0.423 0.577 0.250
0.577 0.423 0.750
0.083 0.575 0.335
0.186 0.231 0.012
0.231 0.186 0.512
0.391 0.596 0.574
0.404 0.609 0.926
0.425 0.917 0.165
0.575 0.083 0.835
0.596 0.391 0.074
0.609 0.404 0.426
0.769 0.814 0.488
0.814 0.769 0.988
0.917 0.425 0.665
0.052 0.331 0.842
0.331 0.052 0.342
0.669 0.948 0.658
0.948 0.669 0.158
```

The 12 most intense peaks (10 to 90 degrees two-theta), low angle first:
2θ (°), d [Å], intensity
16.57, 5.351, 100.0
21.84, 4.069, 21.6
26.96, 3.307, 34.3
27.64, 3.227, 25.2
29.63, 3.015, 30.5
32.43, 2.761, 20.5
33.66, 2.662, 19.6
34.26, 2.618, 93.0
34.76, 2.581, 21.3
36.19, 2.482, 17.8
36.63, 2.453, 31.6
53.09, 1.725, 19.7

Entry 6:
For La2BS5, a crystal structure in Alexandria, relaxed with GGA-PBE gives the theoretical powder diffraction line list in this record (Cu Kα (weighted mean of Kα1 and Kα2)).
Neutral-atom scattering factors, no anomalous dispersion.

Structure:
```
La2BS5
1.0
4.023 -4.619 0.000
4.023 4.619 0.000
-3.313 0.000 4.651
La B S
2 1 5
direct
0.234 0.766 0.000
0.766 0.234 0.000
0.525 0.525 0.638
0.213 0.213 0.938
0.231 0.231 0.469
0.394 0.763 0.543
0.719 0.719 0.061
0.763 0.394 0.543
```

The 12 most intense peaks (10 to 90 degrees two-theta), low angle first:
2θ (°), d [Å], intensity
19.08, 4.651, 75.7
19.22, 4.619, 55.6
22.35, 3.977, 34.4
27.21, 3.277, 84.1
29.64, 3.014, 71.6
31.73, 2.820, 27.2
33.53, 2.673, 100.0
37.36, 2.407, 76.7
38.72, 2.325, 38.7
39.00, 2.309, 28.6
43.77, 2.068, 26.2
56.13, 1.639, 24.5

Entry 7:
For CuHClO, a crystal structure in Alexandria, relaxed with GGA-PBE gives the theoretical powder diffraction line list in this record (Cu Kα (weighted mean of Kα1 and Kα2)).
Neutral-atom scattering factors, no anomalous dispersion.

Structure:
```
CuHClO
1.0
6.148 0.000 0.000
0.000 6.782 0.000
-2.533 0.000 5.040
Cu H Cl O
4 4 4 4
direct
0.030 0.119 0.253
0.030 0.381 0.753
0.970 0.619 0.247
0.970 0.881 0.747
0.294 0.658 0.734
0.294 0.842 0.234
0.706 0.158 0.766
0.706 0.342 0.266
0.317 0.086 0.679
0.317 0.414 0.179
0.683 0.586 0.821
0.683 0.914 0.321
0.114 0.644 0.651
0.114 0.856 0.151
0.886 0.144 0.849
0.886 0.356 0.349
```

The 12 most intense peaks (10 to 90 degrees two-theta), low angle first:
2θ (°), d [Å], intensity
16.13, 5.493, 100.0
31.89, 2.806, 73.3
32.12, 2.787, 27.6
35.63, 2.520, 31.4
35.95, 2.498, 9.7
39.48, 2.283, 12.9
39.70, 2.270, 31.9
45.87, 1.978, 14.4
46.41, 1.956, 10.2
52.04, 1.757, 14.1
54.09, 1.695, 10.1
56.51, 1.629, 19.9

Entry 8:
For K2GaBiTe4, a crystal structure in Alexandria, relaxed with GGA-PBE gives the theoretical powder diffraction line list in this record (Cu Kα (weighted mean of Kα1 and Kα2)).
Neutral-atom scattering factors, no anomalous dispersion.

Structure:
```
K2GaBiTe4
1.0
-4.384 4.384 3.783
4.384 -4.384 3.783
4.384 4.384 -3.783
K Ga Bi Te
2 1 1 4
direct
0.000 0.500 0.500
0.500 0.000 0.500
0.000 0.000 0.000
0.500 0.500 0.000
0.040 0.388 0.000
0.388 0.040 0.000
0.612 0.612 0.652
0.960 0.960 0.348
```

The 12 most intense peaks (10 to 90 degrees two-theta), low angle first:
2θ (°), d [Å], intensity
14.29, 6.199, 56.4
25.59, 3.481, 100.0
28.80, 3.100, 34.6
31.23, 2.864, 77.5
40.33, 2.236, 33.2
42.62, 2.121, 14.0
43.81, 2.066, 18.8
44.25, 2.047, 28.6
46.31, 1.960, 14.0
47.97, 1.897, 15.7
66.97, 1.397, 11.8
72.64, 1.302, 12.9